[1]
Ce2Pr2GaGe4: computed powder XRD pattern (CuKα), based on a crystal structure in Alexandria, relaxed with GGA-PBE.

Largest 6 diffraction maxima, low angle first, 2θ = 10–90°:
2theta, I_rel, h k l
32.3, 100, 2 0 2
33.2, 24, 1 0 3
35.4, 72, 2 2 0
41.9, 23, 2 1 3
50.9, 25, 4 0 0
61.5, 31, 4 2 2

Atomic structure:
a b c (Å): 7.181 7.181 8.732
angles (deg): 90.00 90.00 90.00
Space group I4/mmm (No. 139)
Asymmetric unit:
Ce (0.000, 0.000, 0.180)
Pr (0.000, 0.500, 0.250)
Ga (0.000, 0.000, 0.500)
Ge (0.247, 0.247, 0.500)

[2]
CeGaGePt3: computed powder XRD pattern (CuKα), based on a crystal structure in Alexandria, relaxed with GGA-PBE.

Largest 6 diffraction maxima, low angle first, 2θ = 10–90°:
2theta, I_rel, h k l
11.0, 18, 0 2 0
22.0, 41, 0 4 0
33.7, 100, 2 2 0
45.5, 63, 2 0 2
46.7, 40, 2 6 0
51.1, 18, 2 4 2

Atomic structure:
a b c (Å): 5.648 16.132 5.632
angles (deg): 90.00 90.00 90.00
Space group Cmcm (No. 63)
Asymmetric unit:
Ce (0.000, 0.191, 0.250)
Ga (0.000, 0.400, 0.750)
Ge (0.000, 0.093, 0.750)
Pt (0.000, 0.246, 0.750)
Pt (0.247, 0.500, 0.000)

[3]
Ce2Ga4GePt3: computed powder XRD pattern (CuKα), based on a crystal structure in Alexandria, relaxed with GGA-PBE.

Largest 6 diffraction maxima, low angle first, 2θ = 10–90°:
2theta, I_rel, h k l
33.1, 75, 1 0 3
34.0, 100, 1 1 2
41.8, 78, 2 0 0
45.8, 35, 1 1 4
48.5, 36, 1 0 5
54.3, 37, 2 1 3

Atomic structure:
a b c (Å): 4.320 4.320 10.427
angles (deg): 90.00 90.00 90.00
Space group P-4m2 (No. 115)
Asymmetric unit:
Ce (0.000, 0.500, 0.247)
Ga (0.000, 0.000, 0.000)
Ga (0.000, 0.500, 0.636)
Ga (0.500, 0.500, 0.000)
Ge (0.000, 0.000, 0.500)
Pt (0.000, 0.500, 0.870)
Pt (0.500, 0.500, 0.500)

[4]
Ce5PuGa2Ge: computed powder XRD pattern (CuKα), based on a crystal structure in Alexandria, relaxed with GGA-PBE.

Largest 6 diffraction maxima, low angle first, 2θ = 10–90°:
2theta, I_rel, h k l
20.6, 30, 1 1 2
30.3, 70, 2 2 0
32.0, 67, 2 1 3
35.6, 100, 2 0 4
36.9, 24, 3 1 2
50.0, 23, 4 1 3

Atomic structure:
a b c (Å): 8.344 8.344 12.653
angles (deg): 90.00 90.00 90.00
Space group I4/mcm (No. 140)
Asymmetric unit:
Ce (0.000, 0.000, 0.000)
Ce (0.195, 0.305, 0.150)
Pu (0.000, 0.500, 0.250)
Ga (0.108, 0.392, 0.500)
Ge (0.000, 0.000, 0.250)

> Number 3 is which compound?

Ce2Ga4GePt3

Copy entry 4 word for word.
Ce5PuGa2Ge: computed powder XRD pattern (CuKα), based on a crystal structure in Alexandria, relaxed with GGA-PBE.

Largest 6 diffraction maxima, low angle first, 2θ = 10–90°:
2theta, I_rel, h k l
20.6, 30, 1 1 2
30.3, 70, 2 2 0
32.0, 67, 2 1 3
35.6, 100, 2 0 4
36.9, 24, 3 1 2
50.0, 23, 4 1 3

Atomic structure:
a b c (Å): 8.344 8.344 12.653
angles (deg): 90.00 90.00 90.00
Space group I4/mcm (No. 140)
Asymmetric unit:
Ce (0.000, 0.000, 0.000)
Ce (0.195, 0.305, 0.150)
Pu (0.000, 0.500, 0.250)
Ga (0.108, 0.392, 0.500)
Ge (0.000, 0.000, 0.250)